Starting from a crystal structure in Alexandria, relaxed with GGA-PBE, the XRD peak list of SrCeNd4Se8 was calculated for Cu Kα (λ = 1.5418 Å).

Most intense lines, 5° ≤ 2θ ≤ 70°, by intensity:
Position (°2θ), I_rel
23.75, 100.0
28.74, 76.6
41.04, 62.2
41.15, 61.8
37.63, 44.2
12.34, 26.8
20.21, 23.4
59.52, 19.5

Cell and atoms:
```
SrCeNd4Se8
1.0
4.387 2.533 7.192
-4.387 2.533 7.192
0.000 -5.066 7.192
Sr Ce Nd Se
1 1 4 8
Direct
0.000 0.000 0.000 Sr
0.626 0.626 0.626 Ce
0.120 0.626 0.626 Nd
0.250 0.250 0.250 Nd
0.626 0.120 0.626 Nd
0.626 0.626 0.120 Nd
0.381 0.381 0.852 Se
0.381 0.852 0.381 Se
0.382 0.382 0.382 Se
0.411 0.863 0.863 Se
0.852 0.381 0.381 Se
0.863 0.411 0.863 Se
0.863 0.863 0.411 Se
0.863 0.863 0.863 Se
```